# 1
Mn2Os3Ru4: computed PXRD pattern (Cu Ka), based on a crystal structure in Alexandria, relaxed with PBE.
Neutral-atom scattering factors, no anomalous dispersion.

Structure:
```
18
Lattice="6.1557 -4.4372 0.0000 6.1557 4.4372 0.0000 -0.7313 0.0000 4.5538" Properties=species:S:1:pos:R:3 pbc="T T T"
Mn 4.3383 3.2982 3.2291
Mn 6.8763 3.2982 3.6016
Mn 4.7040 -3.2982 0.9522
Mn 7.2419 -3.2982 1.3247
Os 5.9729 3.3672 1.1384
Os 3.7527 1.3512 1.9019
Os 3.3871 -1.3512 4.1788
Os 8.1931 1.3512 0.3750
Os 7.8275 -1.3512 2.6519
Os 5.6073 -3.3672 3.4153
Ru 2.0784 0.9069 4.0568
Ru 4.6859 1.0412 4.4424
Ru 2.4440 -0.9069 1.7799
Ru 6.5287 1.0412 2.3883
Ru 5.0515 -1.0412 2.1655
Ru 9.1362 0.9069 2.7739
Ru 6.8943 -1.0412 0.1114
Ru 9.5018 -0.9069 0.4970
```

Peak list (10 most intense, 2θ = 10–90°, by intensity)
| d [Å] | 2theta | I_rel |
| --- | --- | --- |
| 2.229 | 40.46 | 100 |
| 2.084 | 43.42 | 79 |
| 1.817 | 50.20 | 48 |
| 2.219 | 40.67 | 40 |
| 3.689 | 24.13 | 27 |
| 2.954 | 30.26 | 17 |
| 1.406 | 66.51 | 16 |
| 1.265 | 75.12 | 14 |
| 2.389 | 37.65 | 14 |
| 1.253 | 75.92 | 11 |



# 2
Mn4Os3Ru2: computed PXRD pattern (Cu Ka), based on a crystal structure in Alexandria, relaxed with PBE.
Neutral-atom scattering factors, no anomalous dispersion.

Structure:
```
18
Lattice="5.6458 -4.8144 0.0000 5.6458 4.8144 0.0000 -0.9428 0.0000 4.5263" Properties=species:S:1:pos:R:3 pbc="T T T"
Mn 3.8546 2.7333 4.4475
Mn 3.3550 1.7948 1.9271
Mn 6.0229 2.7333 2.3419
Mn 7.4652 1.7948 0.3360
Mn 2.8836 -1.7948 4.1903
Mn 4.3260 -2.7333 2.1843
Mn 6.9938 -1.7948 2.5991
Mn 6.4943 -2.7333 0.0788
Os 0.7265 0.6071 2.2381
Os 0.2551 -0.6071 4.5012
Os 4.9387 0.5009 3.3947
Os 5.4101 -0.5009 1.1316
Os 10.0937 0.6071 0.0251
Os 9.6224 -0.6071 2.2882
Ru 2.4059 0.8230 4.1601
Ru 2.8773 -0.8230 1.8970
Ru 7.4716 0.8230 2.6293
Ru 7.9430 -0.8230 0.3662
```

Peak list (10 most intense, 2θ = 10–90°, by intensity)
| d [Å] | 2theta | I_rel |
| --- | --- | --- |
| 2.264 | 39.82 | 100 |
| 2.155 | 41.93 | 97 |
| 4.814 | 18.43 | 76 |
| 2.083 | 43.45 | 72 |
| 1.923 | 47.27 | 59 |
| 2.050 | 44.18 | 47 |
| 1.958 | 46.38 | 45 |
| 2.025 | 44.77 | 34 |
| 3.035 | 29.43 | 28 |
| 2.663 | 33.65 | 27 |



# 3
MnOs4Ru: computed PXRD pattern (Cu Ka), based on a crystal structure in Alexandria, relaxed with PBE.
Neutral-atom scattering factors, no anomalous dispersion.

Structure:
```
6
Lattice="2.7227 0.0000 0.0000 0.0000 4.2924 0.0000 -1.3659 0.0000 7.0460" Properties=species:S:1:pos:R:3 pbc="T T T"
Mn 0.0000 0.0000 0.0000
Os -0.0061 2.1462 1.5202
Os -0.0036 0.0000 4.7513
Os -0.0088 2.1462 6.2877
Os 1.3594 0.0000 2.3151
Ru 1.3544 2.1462 3.9336
```

Peak list (10 most intense, 2θ = 10–90°, by intensity)
| d [Å] | 2theta | I_rel |
| --- | --- | --- |
| 2.065 | 43.84 | 100 |
| 2.060 | 43.94 | 51 |
| 2.146 | 42.10 | 38 |
| 1.223 | 78.19 | 28 |
| 2.356 | 38.21 | 26 |
| 1.586 | 58.17 | 22 |
| 1.147 | 84.45 | 20 |
| 1.357 | 69.22 | 17 |
| 3.666 | 24.28 | 16 |
| 1.136 | 85.49 | 15 |



# 4
MnOsS: computed PXRD pattern (Cu Ka), based on a crystal structure in Alexandria, relaxed with PBE.
Neutral-atom scattering factors, no anomalous dispersion.

Structure:
```
12
Lattice="11.5939 0.0000 0.0000 0.0000 2.7742 0.0000 0.0000 0.0000 4.8058" Properties=species:S:1:pos:R:3 pbc="T T T"
Mn 0.0000 0.0000 0.0000
Mn 0.0000 1.3871 2.4029
Mn 5.7969 0.0000 0.0144
Mn 5.7969 1.3871 2.4173
Os 1.9473 0.0000 1.6014
Os 1.9473 1.3871 4.0043
Os 9.6465 0.0000 1.6014
Os 9.6465 1.3871 4.0043
S 4.1797 0.0000 3.2197
S 4.1797 1.3871 0.8168
S 7.4141 0.0000 3.2197
S 7.4141 1.3871 0.8168
```

Peak list (10 most intense, 2θ = 10–90°, by intensity)
| d [Å] | 2theta | I_rel |
| --- | --- | --- |
| 2.041 | 44.40 | 100 |
| 3.865 | 23.01 | 55 |
| 2.220 | 40.65 | 55 |
| 2.403 | 37.43 | 41 |
| 2.353 | 38.25 | 40 |
| 1.850 | 49.26 | 28 |
| 1.387 | 67.52 | 26 |
| 1.127 | 86.33 | 24 |
| 1.932 | 47.03 | 23 |
| 1.506 | 61.59 | 23 |